Entry 1:
# Th3U3P8
Theoretical powder XRD pattern, Cu Kα. Input: a crystal structure in the Materials Project, relaxed with PBE.

Peak list (12 most intense, 15° ≤ 2θ ≤ 90°, low angle first)
25.84°, intensity 1000; 25.94°, intensity 993; 33.51°, intensity 316; 33.64°, intensity 833; 39.89°, intensity 195; 40.02°, intensity 351; 40.12°, intensity 262; 48.18°, intensity 172; 48.33°, intensity 386; 50.69°, intensity 220; 50.91°, intensity 217; 55.65°, intensity 234

Atomic structure:
```
data_Th3U3P8
_chemical_formula_sum 'Th3 U3 P8'
_space_group_name_H-M_alt 'P 1'
_space_group_IT_number 1
_space_group_name_Hall 'P 1'
_cell_length_a 7.2853
_cell_length_b 7.2853
_cell_length_c 8.4129
_cell_angle_alpha 125.01
_cell_angle_beta 125.01
_cell_angle_gamma 70.63
loop_
_atom_site_label
_atom_site_type_symbol
_atom_site_fract_x
_atom_site_fract_y
_atom_site_fract_z
_atom_site_occupancy
Th1 Th 0.0000 0.0000 0.0000 1
Th2 Th 0.2430 0.5035 0.1224 1
Th3 Th 0.4965 0.7570 0.8776 1
U1 U 0.3740 0.1264 0.6267 1
U2 U 0.7441 0.2559 0.5000 1
U3 U 0.8736 0.6260 0.3733 1
P1 P 0.1122 0.0323 0.7316 1
P2 P 0.1143 0.5229 0.7320 1
P3 P 0.2817 0.3771 0.4149 1
P4 P 0.4771 0.8857 0.2680 1
P5 P 0.6229 0.7183 0.5851 1
P6 P 0.6270 0.2266 0.0974 1
P7 P 0.7734 0.3730 0.9026 1
P8 P 0.9677 0.8878 0.2684 1
```


Entry 2:
# MnS2
Theoretical powder XRD pattern, Cu Kα. Input: a crystal structure in the Materials Project, relaxed with PBE.

Peak list (12 most intense, 15° ≤ 2θ ≤ 90°, low angle first)
18.78°, intensity 1000; 29.86°, intensity 834; 32.65°, intensity 75; 38.18°, intensity 148; 47.05°, intensity 180; 47.26°, intensity 170; 50.96°, intensity 303; 56.91°, intensity 177; 58.63°, intensity 67; 61.85°, intensity 73; 62.31°, intensity 120; 63.36°, intensity 79

Atomic structure:
```
data_MnS2
_chemical_formula_sum 'Mn4 S8'
_space_group_name_H-M_alt 'P 1'
_space_group_IT_number 1
_space_group_name_Hall 'P 1'
_cell_length_a 5.4396
_cell_length_b 5.4396
_cell_length_c 9.5284
_cell_angle_alpha 90.00
_cell_angle_beta 90.00
_cell_angle_gamma 90.00
loop_
_atom_site_label
_atom_site_type_symbol
_atom_site_fract_x
_atom_site_fract_y
_atom_site_fract_z
_atom_site_occupancy
Mn1 Mn 0.0000 0.0000 0.0000 1
Mn2 Mn 0.0000 0.5000 0.2500 1
Mn3 Mn 0.5000 0.0000 0.7500 1
Mn4 Mn 0.5000 0.5000 0.5000 1
S1 S 0.1961 0.2500 0.1250 1
S2 S 0.2500 0.6961 0.3750 1
S3 S 0.2500 0.8039 0.8750 1
S4 S 0.3039 0.2500 0.6250 1
S5 S 0.6961 0.7500 0.6250 1
S6 S 0.7500 0.1961 0.8750 1
S7 S 0.7500 0.3039 0.3750 1
S8 S 0.8039 0.7500 0.1250 1
```


Entry 3:
# NdEuZrTiO6
Theoretical powder XRD pattern, Cu Kα. Input: a crystal structure in the Materials Project, relaxed with PBE.

Peak list (12 most intense, 15° ≤ 2θ ≤ 90°, low angle first)
18.95°, intensity 23; 21.92°, intensity 98; 31.19°, intensity 1000; 38.45°, intensity 150; 44.69°, intensity 315; 50.31°, intensity 55; 55.50°, intensity 392; 65.05°, intensity 190; 69.54°, intensity 30; 73.90°, intensity 169; 78.17°, intensity 48; 82.37°, intensity 63

Atomic structure:
```
data_NdEuZrTiO6
_chemical_formula_sum 'Nd1 Eu1 Zr1 Ti1 O6'
_space_group_name_H-M_alt 'P 1'
_space_group_IT_number 1
_space_group_name_Hall 'P 1'
_cell_length_a 5.7354
_cell_length_b 5.7354
_cell_length_c 5.7354
_cell_angle_alpha 60.00
_cell_angle_beta 60.00
_cell_angle_gamma 60.00
loop_
_atom_site_label
_atom_site_type_symbol
_atom_site_fract_x
_atom_site_fract_y
_atom_site_fract_z
_atom_site_occupancy
Nd1 Nd 0.0000 0.0000 0.0000 1
Eu1 Eu 0.5000 0.5000 0.5000 1
Zr1 Zr 0.7500 0.7500 0.7500 1
Ti1 Ti 0.2500 0.2500 0.2500 1
O1 O 0.0070 0.0070 0.4930 1
O2 O 0.0070 0.4930 0.0070 1
O3 O 0.0070 0.4930 0.4930 1
O4 O 0.4930 0.0070 0.0070 1
O5 O 0.4930 0.0070 0.4930 1
O6 O 0.4930 0.4930 0.0070 1
```


Entry 4:
# Sn2Sb4Pt3
Theoretical powder XRD pattern, Cu Kα. Input: a crystal structure in the Materials Project, relaxed with PBE.

Peak list (12 most intense, 15° ≤ 2θ ≤ 90°, low angle first)
20.68°, intensity 325; 21.09°, intensity 319; 26.86°, intensity 220; 27.76°, intensity 1000; 30.77°, intensity 348; 31.05°, intensity 346; 31.14°, intensity 299; 31.70°, intensity 291; 41.90°, intensity 541; 42.33°, intensity 531; 46.00°, intensity 362; 47.09°, intensity 544

Atomic structure:
```
data_Sn2Sb4Pt3
_chemical_formula_sum 'Sn4 Sb8 Pt6'
_space_group_name_H-M_alt 'P 1'
_space_group_IT_number 1
_space_group_name_Hall 'P 1'
_cell_length_a 8.5634
_cell_length_b 3.9461
_cell_length_c 13.0320
_cell_angle_alpha 90.00
_cell_angle_beta 98.55
_cell_angle_gamma 90.00
loop_
_atom_site_label
_atom_site_type_symbol
_atom_site_fract_x
_atom_site_fract_y
_atom_site_fract_z
_atom_site_occupancy
Sn1 Sn 0.0000 0.0000 0.0000 1
Sn2 Sn 0.0146 0.0000 0.7123 1
Sn3 Sn 0.3318 0.0000 0.6645 1
Sn4 Sn 0.6653 0.0000 0.3302 1
Sb1 Sb 0.0254 0.5000 0.4681 1
Sb2 Sb 0.3178 0.5000 0.9077 1
Sb3 Sb 0.3473 0.0000 0.3789 1
Sb4 Sb 0.3576 0.5000 0.1338 1
Sb5 Sb 0.6536 0.5000 0.5760 1
Sb6 Sb 0.6815 0.0000 0.0451 1
Sb7 Sb 0.6927 0.5000 0.8003 1
Sb8 Sb 0.9859 0.5000 0.2425 1
Pt1 Pt 0.0051 0.5000 0.8557 1
Pt2 Pt 0.1728 0.0000 0.1903 1
Pt3 Pt 0.3404 0.5000 0.5196 1
Pt4 Pt 0.5070 0.0000 0.8560 1
Pt5 Pt 0.6714 0.5000 0.1863 1
Pt6 Pt 0.8386 0.0000 0.5212 1
```


Entry 5:
# Mo3Ru3C2
Theoretical powder XRD pattern, Cu Kα. Input: a crystal structure in the Materials Project, relaxed with PBE.

Peak list (12 most intense, 15° ≤ 2θ ≤ 90°, low angle first)
37.99°, intensity 1000; 38.92°, intensity 239; 40.78°, intensity 78; 44.43°, intensity 654; 48.81°, intensity 54; 64.01°, intensity 241; 65.29°, intensity 138; 71.75°, intensity 66; 76.92°, intensity 124; 77.51°, intensity 186; 78.70°, intensity 62; 81.24°, intensity 108

Atomic structure:
```
data_Mo3Ru3C2
_chemical_formula_sum 'Mo3 Ru3 C2'
_space_group_name_H-M_alt 'P 1'
_space_group_IT_number 1
_space_group_name_Hall 'P 1'
_cell_length_a 2.9093
_cell_length_b 2.9093
_cell_length_c 13.8833
_cell_angle_alpha 90.00
_cell_angle_beta 90.00
_cell_angle_gamma 120.00
loop_
_atom_site_label
_atom_site_type_symbol
_atom_site_fract_x
_atom_site_fract_y
_atom_site_fract_z
_atom_site_occupancy
Mo1 Mo 0.0000 0.0000 0.0000 1
Mo2 Mo 0.3333 0.6667 0.8121 1
Mo3 Mo 0.6667 0.3333 0.1879 1
Ru1 Ru 0.0000 0.0000 0.5000 1
Ru2 Ru 0.3333 0.6667 0.3460 1
Ru3 Ru 0.6667 0.3333 0.6540 1
C1 C 0.3333 0.6667 0.0988 1
C2 C 0.6667 0.3333 0.9012 1
```


Entry 6:
# Nb2Pb2O7
Theoretical powder XRD pattern, Cu Kα. Input: a crystal structure in the Materials Project, relaxed with PBE.

Peak list (12 most intense, 15° ≤ 2θ ≤ 90°, low angle first)
27.22°, intensity 76; 28.45°, intensity 1000; 32.97°, intensity 380; 36.02°, intensity 109; 43.26°, intensity 52; 47.32°, intensity 432; 56.14°, intensity 455; 58.88°, intensity 127; 69.15°, intensity 69; 76.40°, intensity 186; 78.76°, intensity 167; 88.06°, intensity 130

Atomic structure:
```
data_Nb2Pb2O7
_chemical_formula_sum 'Nb4 Pb4 O14'
_space_group_name_H-M_alt 'P 1'
_space_group_IT_number 1
_space_group_name_Hall 'P 1'
_cell_length_a 7.6845
_cell_length_b 7.6845
_cell_length_c 7.6845
_cell_angle_alpha 60.00
_cell_angle_beta 60.00
_cell_angle_gamma 60.00
loop_
_atom_site_label
_atom_site_type_symbol
_atom_site_fract_x
_atom_site_fract_y
_atom_site_fract_z
_atom_site_occupancy
Nb1 Nb 0.0000 0.0000 0.0000 1
Nb2 Nb 0.0000 0.0000 0.5000 1
Nb3 Nb 0.0000 0.5000 0.0000 1
Nb4 Nb 0.5000 0.0000 0.0000 1
Pb1 Pb 0.0000 0.5000 0.5000 1
Pb2 Pb 0.5000 0.0000 0.5000 1
Pb3 Pb 0.5000 0.5000 0.0000 1
Pb4 Pb 0.5000 0.5000 0.5000 1
O1 O 0.0611 0.0611 0.6889 1
O2 O 0.0611 0.6889 0.0611 1
O3 O 0.0611 0.6889 0.6889 1
O4 O 0.3111 0.3111 0.9389 1
O5 O 0.3111 0.9389 0.3111 1
O6 O 0.3111 0.9389 0.9389 1
O7 O 0.3750 0.3750 0.3750 1
O8 O 0.6250 0.6250 0.6250 1
O9 O 0.6889 0.0611 0.0611 1
O10 O 0.6889 0.0611 0.6889 1
O11 O 0.6889 0.6889 0.0611 1
O12 O 0.9389 0.3111 0.3111 1
O13 O 0.9389 0.3111 0.9389 1
O14 O 0.9389 0.9389 0.3111 1
```


Entry 7:
# ZrCrAgS4
Theoretical powder XRD pattern, Cu Kα. Input: a crystal structure in the Materials Project, relaxed with PBE.

Peak list (12 most intense, 15° ≤ 2θ ≤ 90°, low angle first)
25.67°, intensity 272; 26.02°, intensity 1000; 29.57°, intensity 474; 32.26°, intensity 710; 34.11°, intensity 599; 36.39°, intensity 878; 41.05°, intensity 243; 41.59°, intensity 253; 44.78°, intensity 529; 47.61°, intensity 265; 50.38°, intensity 264; 50.50°, intensity 424

Atomic structure:
```
data_ZrCrAgS4
_chemical_formula_sum 'Zr4 Cr4 Ag4 S16'
_space_group_name_H-M_alt 'P 1'
_space_group_IT_number 1
_space_group_name_Hall 'P 1'
_cell_length_a 12.0749
_cell_length_b 3.6136
_cell_length_c 12.4719
_cell_angle_alpha 90.00
_cell_angle_beta 90.00
_cell_angle_gamma 90.00
loop_
_atom_site_label
_atom_site_type_symbol
_atom_site_fract_x
_atom_site_fract_y
_atom_site_fract_z
_atom_site_occupancy
Zr1 Zr 0.1513 0.2500 0.2114 1
Zr2 Zr 0.3487 0.7500 0.7114 1
Zr3 Zr 0.6513 0.2500 0.2886 1
Zr4 Zr 0.8487 0.7500 0.7886 1
Cr1 Cr 0.1083 0.2500 0.5724 1
Cr2 Cr 0.3917 0.7500 0.0724 1
Cr3 Cr 0.6083 0.2500 0.9276 1
Cr4 Cr 0.8917 0.7500 0.4276 1
Ag1 Ag 0.1380 0.7500 0.9127 1
Ag2 Ag 0.3620 0.2500 0.4127 1
Ag3 Ag 0.6380 0.7500 0.5873 1
Ag4 Ag 0.8620 0.2500 0.0873 1
S1 S 0.0272 0.2500 0.3890 1
S2 S 0.0441 0.7500 0.1161 1
S3 S 0.1987 0.2500 0.7500 1
S4 S 0.2306 0.7500 0.5305 1
S5 S 0.2694 0.2500 0.0305 1
S6 S 0.3013 0.7500 0.2500 1
S7 S 0.4559 0.2500 0.6161 1
S8 S 0.4728 0.7500 0.8890 1
S9 S 0.5272 0.2500 0.1110 1
S10 S 0.5441 0.7500 0.3839 1
S11 S 0.6987 0.2500 0.7500 1
S12 S 0.7306 0.7500 0.9695 1
S13 S 0.7694 0.2500 0.4695 1
S14 S 0.8013 0.7500 0.2500 1
S15 S 0.9559 0.2500 0.8839 1
S16 S 0.9728 0.7500 0.6110 1
```